# Dy3Co2Ni7
Simulated X-ray powder pattern, a wavelength of 1.5418 Å. Input: a cell relaxed with GGA-PBE.

Most intense lines, 2θ = 10–80°, in order of rising 2θ:
2θ 33.08, I 51.5
2θ 36.10, I 42.2
2θ 36.24, I 51.2
2θ 42.26, I 38.6
2θ 42.71, I 100.0
2θ 65.13, I 24.0

Structure:
abc: 8.630 8.630 8.630
angles: 33.38 33.38 33.38
Fractional positions:
Dy  0.000  0.000  0.000
Dy  0.138  0.138  0.138
Dy  0.862  0.862  0.862
Co  0.333  0.333  0.333
Co  0.667  0.667  0.667
Ni  0.081  0.582  0.582
Ni  0.418  0.418  0.919
Ni  0.418  0.919  0.418
Ni  0.500  0.500  0.500
Ni  0.582  0.081  0.582
Ni  0.582  0.582  0.081
Ni  0.919  0.418  0.418